Entry 1:
Diffraction record for Pu4CdGa12. The PXRD pattern is theoretical, not measured: it uses a GGA-PBE-relaxed structure and CuKα.

Atomic structure:
```
data_Pu4CdGa12
_chemical_formula_sum 'Pu8 Cd2 Ga24'
_cell_length_a 8.7611
_cell_length_b 8.7611
_cell_length_c 8.7611
_cell_angle_alpha 90.00
_cell_angle_beta 90.00
_cell_angle_gamma 90.00
_space_group_name_H-M_alt 'I m -3 m'
_space_group_IT_number 229
_space_group_name_Hall '-I 4 2 3'
loop_
_atom_site_label
_atom_site_type_symbol
_atom_site_fract_x
_atom_site_fract_y
_atom_site_fract_z
Pu1 Pu 0.2500 0.2500 0.2500
Cd1 Cd 0.0000 0.0000 0.0000
Ga1 Ga 0.0000 0.0000 0.3091
Ga2 Ga 0.0000 0.2500 0.5000
```

The 10 most intense peaks (2θ from 15° to 90°), sorted by position:
index, Position (°2θ), d (Å), intensity
2 0 0, 20.3, 4.381, 27
2 2 0, 28.8, 3.098, 70
2 2 2, 35.5, 2.529, 100
4 0 0, 41.2, 2.190, 64
4 2 0, 46.3, 1.959, 23
4 2 2, 51.1, 1.788, 22
4 4 0, 59.7, 1.549, 37
6 2 0, 67.6, 1.385, 20
6 2 2, 71.4, 1.321, 30
6 4 2, 82.4, 1.171, 18


Entry 2:
Diffraction record for Pm5Ge2H2. The PXRD pattern is theoretical, not measured: it uses a GGA-PBE-relaxed structure and CuKα.

Atomic structure:
```
data_Pm5Ge2H2
_chemical_formula_sum 'Pm20 Ge8 H8'
_cell_length_a 20.2231
_cell_length_b 6.5746
_cell_length_c 6.3622
_cell_angle_alpha 90.00
_cell_angle_beta 90.00
_cell_angle_gamma 90.00
_space_group_name_H-M_alt 'I m a 2'
_space_group_IT_number 46
loop_
_space_group_symop_operation_xyz
'x,y,z'
'-x,-y,z'
'-x+1/2,y,z'
'x+1/2,-y,z'
'x+1/2,y+1/2,z+1/2'
'-x+1/2,-y+1/2,z+1/2'
'-x,y+1/2,z+1/2'
'x,-y+1/2,z+1/2'
loop_
_atom_site_label
_atom_site_type_symbol
_atom_site_fract_x
_atom_site_fract_y
_atom_site_fract_z
Pm1 Pm 0.0091 0.2495 0.0000
Pm2 Pm 0.1525 0.5359 0.7467
Pm3 Pm 0.2500 0.0574 0.7504
Ge1 Ge 0.1053 0.5199 0.2478
H1 H 0.0000 0.0000 0.2510
H2 H 0.2500 0.1104 0.1172
```

The 10 most intense peaks (2θ from 15° to 90°), sorted by position:
index, Position (°2θ), d (Å), intensity
4 1 1, 26.3, 3.391, 38
2 2 0, 28.6, 3.126, 64
2 0 2, 29.4, 3.034, 71
4 2 0, 32.5, 2.756, 57
6 1 1, 33.0, 2.713, 100
4 0 2, 33.3, 2.692, 51
8 0 0, 35.5, 2.528, 26
0 2 2, 39.4, 2.286, 87
8 2 2, 54.1, 1.696, 26
4 2 4, 68.1, 1.378, 29


Entry 3:
Diffraction record for SmYCS. The PXRD pattern is theoretical, not measured: it uses a GGA-PBE-relaxed structure and CuKα.

Atomic structure:
```
data_SmYCS
_chemical_formula_sum 'Sm3 Y3 C3 S3'
_cell_length_a 3.7761
_cell_length_b 3.7761
_cell_length_c 19.3549
_cell_angle_alpha 90.00
_cell_angle_beta 90.00
_cell_angle_gamma 120.00
_space_group_name_H-M_alt 'R 3 m'
_space_group_IT_number 160
_space_group_name_Hall 'R 3 -2"'
loop_
_atom_site_label
_atom_site_type_symbol
_atom_site_fract_x
_atom_site_fract_y
_atom_site_fract_z
Sm1 Sm 0.0000 0.0000 0.0000
Y1 Y 0.0000 0.0000 0.5245
C1 C 0.0000 0.0000 0.2619
S1 S 0.0000 0.0000 0.7657
```

The 10 most intense peaks (2θ from 15° to 90°), sorted by position:
index, Position (°2θ), d (Å), intensity
0 0 6, 27.7, 3.225, 32
0 1 2, 28.8, 3.098, 71
1 0 4, 33.1, 2.709, 100
0 1 5, 36.0, 2.498, 17
0 1 8, 46.7, 1.945, 29
1 1 0, 48.2, 1.888, 36
1 1 6, 56.5, 1.629, 20
0 2 4, 59.7, 1.549, 24
2 0 8, 69.4, 1.355, 16
2 1 4, 80.1, 1.198, 17


Entry 4:
Diffraction record for NaTlSn6. The PXRD pattern is theoretical, not measured: it uses a GGA-PBE-relaxed structure and CuKα.

Atomic structure:
```
data_NaTlSn6
_chemical_formula_sum 'Na2 Tl2 Sn12'
_cell_length_a 6.4012
_cell_length_b 11.0861
_cell_length_c 6.3044
_cell_angle_alpha 90.00
_cell_angle_beta 90.26
_cell_angle_gamma 90.00
_space_group_name_H-M_alt 'C 1 2/m 1'
_space_group_IT_number 12
loop_
_space_group_symop_operation_xyz
'x,y,z'
'-x,-y,-z'
'-x,y,-z'
'x,-y,z'
'x+1/2,y+1/2,z'
'-x+1/2,-y+1/2,-z'
'-x+1/2,y+1/2,-z'
'x+1/2,-y+1/2,z'
loop_
_atom_site_label
_atom_site_type_symbol
_atom_site_fract_x
_atom_site_fract_y
_atom_site_fract_z
Na1 Na 0.0000 0.0000 0.0000
Tl1 Tl 0.0000 0.0000 0.5000
Sn1 Sn 0.0009 0.5000 0.7516
Sn2 Sn 0.2498 0.2502 0.2484
```

The 10 most intense peaks (2θ from 15° to 90°), sorted by position:
index, Position (°2θ), d (Å), intensity
1 1 1, 21.3, 4.163, 19
0 0 2, 28.3, 3.152, 13
2 2 0, 32.3, 2.772, 100
0 2 2, 32.7, 2.742, 31
1 1 2, 32.7, 2.736, 15
2 0 -2, 40.1, 2.249, 13
2 0 2, 40.2, 2.242, 13
0 4 2, 43.4, 2.083, 17
3 1 -2, 52.4, 1.747, 13
4 0 0, 57.6, 1.600, 20


Entry 5:
Diffraction record for K6BrCl4. The PXRD pattern is theoretical, not measured: it uses a GGA-PBE-relaxed structure and CuKα.

Atomic structure:
```
data_K6BrCl4
_chemical_formula_sum 'K24 Br4 Cl16'
_cell_length_a 4.5240
_cell_length_b 15.2451
_cell_length_c 23.7432
_cell_angle_alpha 90.00
_cell_angle_beta 90.00
_cell_angle_gamma 90.00
_space_group_name_H-M_alt 'C m c m'
_space_group_IT_number 63
_space_group_name_Hall '-C 2c 2'
loop_
_atom_site_label
_atom_site_type_symbol
_atom_site_fract_x
_atom_site_fract_y
_atom_site_fract_z
K1 K 0.0000 0.0000 0.0000
K2 K 0.0000 0.1848 0.2500
K3 K 0.0000 0.2748 0.5784
K4 K 0.0000 0.4652 0.1635
Br1 Br 0.0000 0.1420 0.7500
Cl1 Cl 0.0000 0.0956 0.1171
Cl2 Cl 0.0000 0.3636 0.0449
```

The 10 most intense peaks (2θ from 15° to 90°), sorted by position:
index, Position (°2θ), d (Å), intensity
0 2 5, 22.1, 4.031, 16
0 2 6, 25.4, 3.510, 63
1 3 2, 27.4, 3.250, 100
1 3 3, 28.7, 3.107, 71
1 1 8, 36.7, 2.449, 36
1 5 4, 38.7, 2.326, 19
2 0 0, 39.9, 2.262, 29
0 6 5, 40.3, 2.240, 21
2 2 6, 47.8, 1.901, 22
1 9 7, 64.9, 1.436, 16


Entry 6:
Diffraction record for Tb2PmPr6Er3. The PXRD pattern is theoretical, not measured: it uses a GGA-PBE-relaxed structure and CuKα.

Atomic structure:
```
data_Tb2PmPr6Er3
_chemical_formula_sum 'Tb4 Pm2 Pr12 Er6'
_cell_length_a 6.3127
_cell_length_b 10.9350
_cell_length_c 11.9072
_cell_angle_alpha 90.00
_cell_angle_beta 100.15
_cell_angle_gamma 90.00
_space_group_name_H-M_alt 'C 1 2/m 1'
_space_group_IT_number 12
loop_
_space_group_symop_operation_xyz
'x,y,z'
'-x,-y,-z'
'-x,y,-z'
'x,-y,z'
'x+1/2,y+1/2,z'
'-x+1/2,-y+1/2,-z'
'-x+1/2,y+1/2,-z'
'x+1/2,-y+1/2,z'
loop_
_atom_site_label
_atom_site_type_symbol
_atom_site_fract_x
_atom_site_fract_y
_atom_site_fract_z
Tb1 Tb 0.0000 0.1666 0.0000
Pm1 Pm 0.0000 0.5000 0.0000
Pr1 Pr 0.2489 0.1669 0.7475
Pr2 Pr 0.2494 0.5000 0.7476
Er1 Er 0.0000 0.0000 0.5000
Er2 Er 0.0000 0.3332 0.5000
```

The 10 most intense peaks (2θ from 15° to 90°), sorted by position:
index, Position (°2θ), d (Å), intensity
1 3 1, 30.1, 2.971, 100
0 0 4, 30.5, 2.930, 32
2 0 2, 35.0, 2.564, 67
0 6 0, 50.1, 1.822, 24
1 3 5, 50.6, 1.804, 24
4 0 0, 59.5, 1.553, 14
3 3 3, 59.8, 1.548, 29
2 0 6, 60.3, 1.536, 14
2 6 2, 62.5, 1.485, 12
4 6 0, 81.4, 1.182, 12


Entry 7:
Diffraction record for SrLi2LaGe2. The PXRD pattern is theoretical, not measured: it uses a GGA-PBE-relaxed structure and CuKα.

Atomic structure:
```
data_SrLi2LaGe2
_chemical_formula_sum 'Sr1 Li2 La1 Ge2'
_cell_length_a 4.6748
_cell_length_b 4.6748
_cell_length_c 7.8214
_cell_angle_alpha 90.00
_cell_angle_beta 90.00
_cell_angle_gamma 120.00
_space_group_name_H-M_alt 'P -3 m 1'
_space_group_IT_number 164
_space_group_name_Hall '-P 3 2"'
loop_
_atom_site_label
_atom_site_type_symbol
_atom_site_fract_x
_atom_site_fract_y
_atom_site_fract_z
Sr1 Sr 0.0000 0.0000 0.0000
Li1 Li 0.3333 0.6667 0.2790
La1 La 0.0000 0.0000 0.5000
Ge1 Ge 0.3333 0.6667 0.7172
```

The 10 most intense peaks (2θ from 15° to 90°), sorted by position:
index, Position (°2θ), d (Å), intensity
1 0 0, 22.0, 4.048, 29
0 1 1, 24.8, 3.595, 32
0 1 2, 31.8, 2.813, 100
1 1 0, 38.5, 2.337, 48
1 0 3, 41.2, 2.192, 10
2 0 2, 50.8, 1.798, 27
1 0 4, 51.9, 1.761, 10
1 1 4, 61.8, 1.500, 23
1 2 2, 65.5, 1.425, 24
3 0 4, 87.9, 1.111, 9